This entry pairs a crystal structure of FeGe3H4PbO10 with its theoretical PXRD pattern. Radiation: copper Kα. Structure: a cell relaxed with GGA+U.
Neutral-atom scattering factors, no anomalous dispersion.

Crystal structure
Cell: 5.480 13.750 6.017 Å, 90.00 112.16 90.00°
Space group P2_1/m (No. 11)
Symmetry-distinct sites (fractional):
Fe 0.000 0.000 0.000
Ge 0.002 0.129 0.463
Ge 0.500 0.000 0.500
H 0.348 0.190 0.150
H 0.460 0.565 0.863
Pb 0.323 0.750 0.147
O 0.068 0.750 0.468
O 0.146 0.613 0.851
O 0.159 0.562 0.374
O 0.326 0.250 0.051
O 0.347 0.111 0.600
O 0.390 0.058 0.190

Peak list (8 most intense, 10 to 90 degrees two-theta, in order of rising 2θ)
| d (Å) | 2theta | I (rel.) | index |
| --- | --- | --- | --- |
| 4.760 | 18.64 | 75 | 1 1 0 |
| 4.489 | 19.78 | 79 | 1 1 -1 |
| 3.540 | 25.16 | 45 | 0 3 1 |
| 2.926 | 30.56 | 49 | 0 4 1 |
| 2.901 | 30.83 | 81 | 1 2 1 |
| 2.785 | 32.14 | 100 | 1 4 -1 |
| 2.731 | 32.80 | 61 | 2 0 -1 |
| 2.381 | 37.79 | 49 | 2 2 0 |


This entry pairs a crystal structure of Li4CrP3O12 with its theoretical PXRD pattern. Radiation: copper Kα. Structure: a cell relaxed with GGA+U.
Neutral-atom scattering factors, no anomalous dispersion.

Crystal structure
Cell: 6.990 7.622 13.494 Å, 94.02 90.10 103.58°
Space group P1 (No. 1)
Symmetry-distinct sites (fractional):
Li 0.000 0.000 0.000
Li 0.000 0.006 0.490
Li 0.147 0.634 0.269
Li 0.167 0.607 0.764
Li 0.329 0.288 0.376
Li 0.349 0.300 0.876
Li 0.504 0.014 0.988
Li 0.505 0.015 0.488
Li 0.637 0.599 0.759
Li 0.674 0.619 0.265
Li 0.820 0.332 0.875
Li 0.829 0.327 0.376
Cr 0.313 0.214 0.145
Cr 0.313 0.217 0.640
Cr 0.978 0.991 0.763
P 0.198 0.640 0.489
P 0.198 0.640 0.989
P 0.520 0.974 0.764
P 0.527 0.976 0.263
P 0.631 0.649 0.988
P 0.632 0.650 0.488
P 0.858 0.434 0.601
P 0.859 0.435 0.101
P 0.967 0.991 0.262
O 0.045 0.116 0.353
O 0.050 0.124 0.866
O 0.064 0.095 0.649
O 0.067 0.069 0.164
O 0.080 0.557 0.585
O 0.080 0.559 0.085
O 0.126 0.514 0.898
O 0.126 0.515 0.398
O 0.206 0.837 0.487
O 0.206 0.838 0.988
O 0.326 0.236 0.025
O 0.345 0.238 0.521
O 0.364 0.385 0.227
O 0.364 0.389 0.726
O 0.409 0.615 0.025
O 0.409 0.615 0.525
O 0.420 0.029 0.669
O 0.444 0.773 0.774
O 0.447 0.040 0.166
O 0.449 0.774 0.270
O 0.506 0.103 0.854
O 0.510 0.103 0.353
O 0.642 0.523 0.897
O 0.646 0.524 0.398
O 0.712 0.851 0.485
O 0.714 0.850 0.985
O 0.724 0.580 0.083
O 0.724 0.581 0.584
O 0.738 0.014 0.728
O 0.753 0.015 0.235
O 0.809 0.279 0.523
O 0.810 0.278 0.025
O 0.845 0.411 0.710
O 0.849 0.414 0.211
O 0.958 0.793 0.266
O 0.979 0.778 0.765

Peak list (8 most intense, 10 to 90 degrees two-theta, in order of rising 2θ)
| d (Å) | 2theta | I (rel.) | index |
| --- | --- | --- | --- |
| 4.805 | 18.47 | 100 | 0 1 2 |
| 3.623 | 24.57 | 17 | 1 -2 0 |
| 3.148 | 28.35 | 23 | 0 1 -4 |
| 3.056 | 29.22 | 98 | 2 0 -2 |
| 2.982 | 29.97 | 21 | 0 1 4 |
| 2.858 | 31.30 | 29 | 2 -2 0 |
| 2.843 | 31.47 | 34 | 2 1 0 |
| 1.748 | 52.35 | 16 | 4 -1 0 |


This entry pairs a crystal structure of MgZn2MoWO6 with its theoretical PXRD pattern. Radiation: copper Kα. Structure: a cell relaxed with GGA+U.
Neutral-atom scattering factors, no anomalous dispersion.

Crystal structure
Cell: 5.3588 5.3588 15.6622 Å, 90.00 90.00 120.00°
Space group R3 (No. 146, hexagonal axes)
Symmetry-distinct sites (fractional):
Mg 0.0000 0.0000 0.0000
Zn 0.0000 0.0000 0.1631
Zn 0.0000 0.0000 0.5841
Mo 0.0000 0.0000 0.8180
W 0.0000 0.0000 0.3435
O 0.0054 0.6397 0.5829
O 0.0206 0.3489 0.7466

Peak list (8 most intense, 10 to 90 degrees two-theta, in order of rising 2θ)
| d (Å) | 2theta | I (rel.) | index |
| --- | --- | --- | --- |
| 3.992 | 22.27 | 44 | 0 1 2 |
| 2.993 | 29.86 | 75 | 1 0 4 |
| 2.679 | 33.44 | 100 | 1 1 0 |
| 2.596 | 34.55 | 42 | 0 1 5 |
| 1.996 | 45.44 | 25 | 0 2 4 |
| 1.870 | 48.70 | 44 | 2 -1 6 |
| 1.601 | 57.58 | 23 | 2 1 4 |
| 1.547 | 59.78 | 31 | 3 0 0 |


This entry pairs a crystal structure of MoH4O5 with its theoretical PXRD pattern. Radiation: copper Kα. Structure: a cell relaxed with GGA+U.
Neutral-atom scattering factors, no anomalous dispersion.

Crystal structure
Cell: 6.173 4.248 7.853 Å, 90.00 100.65 90.00°
Space group Pc (No. 7)
Symmetry-distinct sites (fractional):
Mo 0.000 0.086 0.000
H 0.431 0.006 0.950
H 0.438 0.436 0.609
H 0.560 0.290 0.231
H 0.631 0.229 0.828
O 0.000 0.494 0.986
O 0.302 0.015 0.511
O 0.506 0.493 0.727
O 0.685 0.039 0.907
O 0.992 0.008 0.222

Peak list (8 most intense, 10 to 90 degrees two-theta, in order of rising 2θ)
| d (Å) | 2theta | I (rel.) | index |
| --- | --- | --- | --- |
| 6.066 | 14.60 | 100 | 1 0 0 |
| 4.248 | 20.91 | 49 | 0 1 0 |
| 3.859 | 23.05 | 42 | 0 0 2 |
| 3.722 | 23.91 | 20 | 0 1 1 |
| 3.568 | 24.95 | 49 | 1 0 -2 |
| 3.480 | 25.60 | 46 | 1 1 0 |
| 3.033 | 29.45 | 33 | 2 0 0 |
| 2.856 | 31.32 | 29 | 0 1 2 |


This entry pairs a crystal structure of Ti3Fe2CoP6O24 with its theoretical PXRD pattern. Radiation: copper Kα. Structure: a cell relaxed with GGA+U.
Neutral-atom scattering factors, no anomalous dispersion.

Crystal structure
Cell: 8.6730 8.6730 20.7357 Å, 90.00 90.00 120.00°
Space group R3 (No. 146, hexagonal axes)
Symmetry-distinct sites (fractional):
Ti 0.0000 0.0000 0.0000
Ti 0.0000 0.0000 0.2137
Ti 0.0000 0.0000 0.7108
Fe 0.0000 0.0000 0.3593
Fe 0.0000 0.0000 0.8568
Co 0.0000 0.0000 0.4987
P 0.9996 0.2932 0.6040
P 0.0398 0.6674 0.7725
O 0.0048 0.1906 0.6656
O 0.0046 0.8137 0.1666
O 0.0174 0.1829 0.2806
O 0.0230 0.8376 0.7800
O 0.1324 0.4632 0.2101
O 0.1549 0.6830 0.7130
O 0.1633 0.6873 0.0959
O 0.1656 0.4862 0.6015

Peak list (8 most intense, 10 to 90 degrees two-theta, in order of rising 2θ)
| d (Å) | 2theta | I (rel.) | index |
| --- | --- | --- | --- |
| 4.337 | 20.48 | 74 | 1 1 0 |
| 3.673 | 24.23 | 100 | 2 -1 3 |
| 3.531 | 25.22 | 18 | 2 0 2 |
| 2.703 | 33.15 | 65 | 2 -1 6 |
| 2.504 | 35.87 | 33 | 3 0 0 |
| 1.914 | 47.50 | 29 | 1 2 8 |
| 1.837 | 49.64 | 24 | 2 2 6 |
| 1.639 | 56.11 | 21 | 1 4 0 |


This entry pairs a crystal structure of Co3B7O13F with its theoretical PXRD pattern. Radiation: copper Kα. Structure: a cell relaxed with GGA+U.
Neutral-atom scattering factors, no anomalous dispersion.

Crystal structure
Cell: 8.5662 8.5662 21.2327 Å, 90.00 90.00 120.00°
Space group R3c (No. 161, hexagonal axes)
Symmetry-distinct sites (fractional):
Co 0.0531 0.5260 0.0000
B 0.0000 0.0000 0.1124
B 0.0044 0.5014 0.7592
B 0.1024 0.2049 0.9810
O 0.0000 0.0000 0.4983
O 0.0239 0.2233 0.4220
O 0.0248 0.4376 0.1976
O 0.0685 0.3746 0.6396
O 0.1617 0.0013 0.1150
F 0.0000 0.0000 0.3030

Peak list (8 most intense, 10 to 90 degrees two-theta, in order of rising 2θ)
| d (Å) | 2theta | I (rel.) | index |
| --- | --- | --- | --- |
| 6.081 | 14.57 | 26 | 0 1 2 |
| 4.317 | 20.57 | 53 | 1 0 4 |
| 3.539 | 25.17 | 59 | 0 0 6 |
| 3.502 | 25.44 | 39 | 2 0 2 |
| 3.040 | 29.38 | 100 | 0 2 4 |
| 2.711 | 33.04 | 37 | 1 2 2 |
| 2.474 | 36.31 | 41 | 3 0 0 |
| 1.843 | 49.46 | 30 | 0 2 10 |